For TiTl2NiO6, a structure optimized by DFT (GGA+U) gives the simulated XRD peak list in this record (λ = 1.5418 Å (Cu Kα)).
Neutral-atom scattering factors, no anomalous dispersion.

a = 9.624 Å, b = 5.591 Å, c = 5.368 Å
α = 90.00°, β = 123.81°, γ = 90.00°
Space group C2 (No. 5)
Inequivalent atoms, fractional coordinates:
1 Ti 0.000 0.000 0.000 x2
2 Tl 0.247 0.488 0.222 x4
3 Ni 0.000 0.506 0.500 x2
4 O 0.063 0.760 0.824 x4
5 O 0.074 0.254 0.825 x4
6 O 0.235 0.035 0.367 x4

Principal peaks in the range 10 to 80 degrees two-theta, by intensity:
d (Å)	intensity	index
2.782	100	3 1 -1
3.872	32	1 1 -1
2.795	24	0 2 0
1.936	22	2 2 -2
1.611	20	3 3 -1
3.999	19	2 0 0
1.568	18	5 1 -3
2.684	17	2 0 -2